No. 1
For MgCrF4, a PBE+U-relaxed structure gives the theoretical XRD peak list in this record (λ = 1.5418 Å (Cu Kα)).
No peak broadening, texture or thermal motion is included.

Largest 10 diffraction maxima, in order of rising 2θ, 2θ from 5° to 70°:
two_theta  intensity
23.6  23
28.5  100
30.2  65
31.6  18
37.1  17
41.2  28
46.1  28
47.7  25
48.4  56
52.9  20

Structural model:
Lattice parameters (Å, degrees): 6.2501 6.2501 5.0540 109.58 109.58 53.87
Atoms (fractional coordinates):
Mg: 0.1856 0.8144 0.7500
Mg: 0.8144 0.1856 0.2500
Cr: 0.0000 0.5000 0.0000
Cr: 0.5000 0.0000 0.5000
F: 0.0078 0.2036 0.6626
F: 0.2036 0.0078 0.1626
F: 0.2515 0.4898 0.8206
F: 0.4898 0.2515 0.3206
F: 0.5102 0.7485 0.6794
F: 0.7485 0.5102 0.1794
F: 0.7964 0.9922 0.8374
F: 0.9922 0.7964 0.3374

No. 2
For MgCrF6, a PBE+U-relaxed structure gives the theoretical XRD peak list in this record (λ = 1.5418 Å (Cu Kα)).
No peak broadening, texture or thermal motion is included.

Largest 10 diffraction maxima, in order of rising 2θ, 2θ from 5° to 70°:
two_theta  intensity
18.5  100
20.5  79
23.2  50
31.7  11
39.2  90
51.7  50
55.0  8
61.2  22
64.6  14
68.8  18

Structural model:
Lattice parameters (Å, degrees): 5.6708 5.6708 5.6708 55.06 55.06 55.06
Atoms (fractional coordinates):
Mg: 0.0000 0.0000 0.0000
Cr: 0.3360 0.3360 0.3360
F: 0.1214 0.7173 0.3801
F: 0.2430 0.5724 0.9781
F: 0.3801 0.1214 0.7173
F: 0.5724 0.9781 0.2430
F: 0.7173 0.3801 0.1214
F: 0.9781 0.2430 0.5724

No. 3
For Na2MgCrF7, a PBE+U-relaxed structure gives the theoretical XRD peak list in this record (λ = 1.5418 Å (Cu Kα)).
No peak broadening, texture or thermal motion is included.

Largest 10 diffraction maxima, in order of rising 2θ, 2θ from 5° to 70°:
two_theta  intensity
17.0  72
24.1  47
29.3  100
30.0  84
37.8  34
49.4  93
50.2  26
58.1  39
58.6  21
59.2  22

Structural model:
Lattice parameters (Å, degrees): 7.3778 7.3778 7.3778 120.96 90.19 118.83
Atoms (fractional coordinates):
Na: 0.0000 0.0000 0.0000
Na: 0.5000 0.0000 0.0000
Na: 0.5000 0.0000 0.5000
Na: 0.5000 0.5000 0.5000
Mg: 0.0000 0.0000 0.5000
Mg: 0.0000 0.5000 0.0000
Cr: 0.0000 0.5000 0.5000
Cr: 0.5000 0.5000 0.0000
F: 0.0486 0.2363 0.4195
F: 0.0486 0.6291 0.8123
F: 0.1016 0.8516 0.2500
F: 0.3168 0.2363 0.6877
F: 0.3168 0.6291 0.0805
F: 0.3211 0.7294 0.5917
F: 0.3622 0.2706 0.0917
F: 0.6378 0.7294 0.9083
F: 0.6789 0.2706 0.4083
F: 0.6832 0.3709 0.9195
F: 0.6832 0.7637 0.3123
F: 0.8984 0.1484 0.7500
F: 0.9514 0.3709 0.1877
F: 0.9514 0.7637 0.5805

No. 4
For RbMgCrF6, a PBE+U-relaxed structure gives the theoretical XRD peak list in this record (λ = 1.5418 Å (Cu Kα)).
No peak broadening, texture or thermal motion is included.

Largest 10 diffraction maxima, in order of rising 2θ, 2θ from 5° to 70°:
two_theta  intensity
24.2  25
24.3  13
28.5  100
28.6  29
29.8  21
37.7  17
45.3  16
45.5  22
49.6  44
56.1  11

Structural model:
Lattice parameters (Å, degrees): 7.3498 7.3498 7.3498 120.33 120.01 89.71
Atoms (fractional coordinates):
Rb: 0.3712 0.1212 0.2500
Rb: 0.6288 0.8788 0.7500
Mg: 0.0000 0.0000 0.5000
Mg: 0.0000 0.5000 0.0000
Cr: 0.0000 0.5000 0.5000
Cr: 0.5000 0.5000 0.0000
F: 0.0700 0.8200 0.2500
F: 0.0716 0.4319 0.2579
F: 0.0716 0.8137 0.6397
F: 0.3178 0.5678 0.7500
F: 0.3260 0.1863 0.7579
F: 0.3260 0.5681 0.1397
F: 0.6740 0.4319 0.8603
F: 0.6740 0.8137 0.2421
F: 0.6822 0.4322 0.2500
F: 0.9284 0.1863 0.3603
F: 0.9284 0.5681 0.7421
F: 0.9300 0.1800 0.7500

No. 5
For MnCrF5, a PBE+U-relaxed structure gives the theoretical XRD peak list in this record (λ = 1.5418 Å (Cu Kα)).
No peak broadening, texture or thermal motion is included.

Largest 10 diffraction maxima, in order of rising 2θ, 2θ from 5° to 70°:
two_theta  intensity
22.4  97
27.5  100
27.8  45
45.8  31
48.4  23
49.0  31
54.3  25
54.5  29
56.8  13
69.3  18

Structural model:
Lattice parameters (Å, degrees): 5.4342 5.4342 7.5195 110.30 110.30 72.36
Atoms (fractional coordinates):
Mn: 0.0332 0.9668 0.7500
Mn: 0.9668 0.0332 0.2500
Cr: 0.5000 0.5000 0.0000
Cr: 0.5000 0.5000 0.5000
F: 0.1836 0.7809 0.0350
F: 0.2191 0.8164 0.4650
F: 0.2260 0.2910 0.3717
F: 0.2910 0.2260 0.8717
F: 0.4053 0.5947 0.7500
F: 0.5947 0.4053 0.2500
F: 0.7090 0.7740 0.1283
F: 0.7740 0.7090 0.6283
F: 0.7809 0.1836 0.5350
F: 0.8164 0.2191 0.9650

No. 6
For NaMnCrF6, a PBE+U-relaxed structure gives the theoretical XRD peak list in this record (λ = 1.5418 Å (Cu Kα)).
No peak broadening, texture or thermal motion is included.

Largest 10 diffraction maxima, in order of rising 2θ, 2θ from 5° to 70°:
two_theta  intensity
17.4  40
19.4  41
20.7  53
26.2  100
28.5  52
34.7  29
38.4  77
49.7  98
53.5  28
60.6  31

Structural model:
Lattice parameters (Å, degrees): 9.1624 9.1624 5.0907 90.00 90.00 120.00
Atoms (fractional coordinates):
Na: 0.0000 0.3702 0.0000
Na: 0.3702 0.0000 0.0000
Na: 0.6298 0.6298 0.0000
Mn: 0.0000 0.7008 0.5000
Mn: 0.2992 0.2992 0.5000
Mn: 0.7008 0.0000 0.5000
Cr: 0.0000 0.0000 0.0000
Cr: 0.3333 0.6667 0.4962
Cr: 0.6667 0.3333 0.5038
F: 0.0999 0.2010 0.2213
F: 0.1011 0.9001 0.2213
F: 0.1301 0.5918 0.2860
F: 0.2010 0.0999 0.7787
F: 0.2252 0.4589 0.7048
F: 0.2337 0.7748 0.7048
F: 0.4082 0.5382 0.2860
F: 0.4589 0.2252 0.2952
F: 0.4618 0.8699 0.2860
F: 0.5382 0.4082 0.7140
F: 0.5411 0.7663 0.7048
F: 0.5918 0.1301 0.7140
F: 0.7663 0.5411 0.2952
F: 0.7748 0.2337 0.2952
F: 0.7990 0.8989 0.2213
F: 0.8699 0.4618 0.7140
F: 0.8989 0.7990 0.7787
F: 0.9001 0.1011 0.7787

No. 7
For NaCrF4, a PBE+U-relaxed structure gives the theoretical XRD peak list in this record (λ = 1.5418 Å (Cu Kα)).
No peak broadening, texture or thermal motion is included.

Largest 10 diffraction maxima, in order of rising 2θ, 2θ from 5° to 70°:
two_theta  intensity
11.3  27
19.9  77
22.7  25
24.1  40
24.5  29
28.1  100
29.3  40
38.0  31
48.4  45
50.1  33

Structural model:
Lattice parameters (Å, degrees): 7.9940 5.4155 7.5330 90.00 101.31 90.00
Atoms (fractional coordinates):
Na: 0.1361 0.2200 0.3896
Na: 0.1361 0.2800 0.8896
Na: 0.8639 0.7200 0.1104
Na: 0.8639 0.7800 0.6104
Cr: 0.3312 0.7424 0.2021
Cr: 0.3312 0.7576 0.7021
Cr: 0.6688 0.2424 0.2979
Cr: 0.6688 0.2576 0.7979
F: 0.1303 0.5442 0.1870
F: 0.1303 0.9558 0.6870
F: 0.1904 0.0189 0.1259
F: 0.1904 0.4811 0.6259
F: 0.3320 0.6408 0.9512
F: 0.3320 0.8592 0.4512
F: 0.4601 0.0607 0.7948
F: 0.4601 0.4393 0.2948
F: 0.5399 0.5607 0.7052
F: 0.5399 0.9393 0.2052
F: 0.6680 0.1408 0.5488
F: 0.6680 0.3592 0.0488
F: 0.8096 0.5189 0.3741
F: 0.8096 0.9811 0.8741
F: 0.8697 0.0442 0.3130
F: 0.8697 0.4558 0.8130